Entry 1:
Structure and theoretical X-ray diffraction stick pattern of RbSb12Au7 (the GGA-PBE geometry in Alexandria; λ = 1.5418 Å (Cu Kα)).
Lines closer than 0.1° are merged.

Principal peaks in the range 2θ from 10° to 90°, by angle:
2θ 24.26, intensity 880; 2θ 26.72, intensity 1000; 2θ 27.87, intensity 669; 2θ 29.81, intensity 724; 2θ 36.48, intensity 933; 2θ 44.59, intensity 727

Cell and atoms:
```
data_RbSb12Au7
_symmetry_space_group_name_H-M 'P 1'
_symmetry_Int_Tables_number 1
_cell_length_a 7.221
_cell_length_b 8.180
_cell_length_c 10.337
_cell_angle_alpha 94.88
_cell_angle_beta 92.82
_cell_angle_gamma 94.13
loop_
_symmetry_equiv_pos_as_xyz
'x,y,z'
loop_
_atom_site_label
_atom_site_fract_x
_atom_site_fract_y
_atom_site_fract_z
Rb1 0.000 0.000 0.000
Sb1 0.111 0.686 0.637
Sb2 0.172 0.868 0.385
Sb3 0.259 0.585 0.214
Sb4 0.264 0.362 0.539
Sb5 0.422 0.664 0.964
Sb6 0.487 0.042 0.262
Sb7 0.513 0.958 0.738
Sb8 0.578 0.336 0.036
Sb9 0.736 0.638 0.461
Sb10 0.741 0.415 0.786
Sb11 0.828 0.132 0.615
Sb12 0.889 0.314 0.363
Au1 0.068 0.560 0.882
Au2 0.187 0.066 0.659
Au3 0.484 0.374 0.325
Au4 0.500 0.000 0.000
Au5 0.516 0.626 0.675
Au6 0.813 0.934 0.341
Au7 0.932 0.440 0.118
```


Entry 2:
Structure and theoretical X-ray diffraction stick pattern of RbSb5Au4 (the GGA-PBE geometry in Alexandria; λ = 1.5418 Å (Cu Kα)).
Lines closer than 0.1° are merged.

Principal peaks in the range 2θ from 10° to 90°, by angle:
2θ 15.97, intensity 1000; 2θ 25.35, intensity 369; 2θ 29.32, intensity 663; 2θ 34.76, intensity 384; 2θ 35.71, intensity 350; 2θ 38.74, intensity 460

Cell and atoms:
```
data_RbSb5Au4
_symmetry_space_group_name_H-M 'P 1'
_symmetry_Int_Tables_number 1
_cell_length_a 8.505
_cell_length_b 12.185
_cell_length_c 6.235
_cell_angle_alpha 90.00
_cell_angle_beta 90.00
_cell_angle_gamma 90.00
loop_
_symmetry_equiv_pos_as_xyz
'x,y,z'
loop_
_atom_site_label
_atom_site_fract_x
_atom_site_fract_y
_atom_site_fract_z
Rb1 0.250 0.250 0.203
Rb2 0.750 0.750 0.797
Sb1 0.023 0.033 0.732
Sb2 0.023 0.467 0.732
Sb3 0.250 0.750 0.239
Sb4 0.477 0.033 0.732
Sb5 0.477 0.467 0.732
Sb6 0.523 0.533 0.268
Sb7 0.523 0.967 0.268
Sb8 0.750 0.250 0.761
Sb9 0.977 0.533 0.268
Sb10 0.977 0.967 0.268
Au1 0.078 0.250 0.701
Au2 0.250 0.545 0.020
Au3 0.250 0.955 0.020
Au4 0.422 0.250 0.701
Au5 0.578 0.750 0.299
Au6 0.750 0.045 0.980
Au7 0.750 0.455 0.980
Au8 0.922 0.750 0.299
```


Entry 3:
Structure and theoretical X-ray diffraction stick pattern of RbSbAu (the GGA-PBE geometry in Alexandria; λ = 1.5418 Å (Cu Kα)).
Lines closer than 0.1° are merged.

Principal peaks in the range 2θ from 10° to 90°, by angle:
2θ 12.14, intensity 1000; 2θ 27.41, intensity 478; 2θ 31.98, intensity 238; 2θ 34.40, intensity 742; 2θ 38.61, intensity 217; 2θ 38.70, intensity 263

Cell and atoms:
```
data_RbSbAu
_symmetry_space_group_name_H-M 'P 1'
_symmetry_Int_Tables_number 1
_cell_length_a 3.882
_cell_length_b 7.254
_cell_length_c 7.544
_cell_angle_alpha 90.00
_cell_angle_beta 104.83
_cell_angle_gamma 90.00
loop_
_symmetry_equiv_pos_as_xyz
'x,y,z'
loop_
_atom_site_label
_atom_site_fract_x
_atom_site_fract_y
_atom_site_fract_z
Rb1 0.000 0.000 0.000
Rb2 0.142 0.500 0.281
Sb1 0.255 0.000 0.506
Sb2 0.398 0.500 0.794
Au1 0.816 0.262 0.628
Au2 0.816 0.738 0.628
```


Entry 4:
Structure and theoretical X-ray diffraction stick pattern of Rb3Sb2Au3 (the GGA-PBE geometry in Alexandria; λ = 1.5418 Å (Cu Kα)).
Lines closer than 0.1° are merged.

Principal peaks in the range 2θ from 10° to 90°, by angle:
2θ 12.07, intensity 1000; 2θ 17.42, intensity 388; 2θ 25.51, intensity 391; 2θ 31.41, intensity 597; 2θ 35.26, intensity 711; 2θ 36.54, intensity 502

Cell and atoms:
```
data_Rb3Sb2Au3
_symmetry_space_group_name_H-M 'P 1'
_symmetry_Int_Tables_number 1
_cell_length_a 8.270
_cell_length_b 8.270
_cell_length_c 8.270
_cell_angle_alpha 47.28
_cell_angle_beta 47.28
_cell_angle_gamma 47.28
loop_
_symmetry_equiv_pos_as_xyz
'x,y,z'
loop_
_atom_site_label
_atom_site_fract_x
_atom_site_fract_y
_atom_site_fract_z
Rb1 0.000 0.000 0.000
Rb2 0.418 0.418 0.418
Rb3 0.582 0.582 0.582
Sb1 0.253 0.253 0.253
Sb2 0.747 0.747 0.747
Au1 0.000 0.000 0.500
Au2 0.000 0.500 0.000
Au3 0.500 0.000 0.000
```


Entry 5:
Structure and theoretical X-ray diffraction stick pattern of Rb3SbAu (the GGA-PBE geometry in Alexandria; λ = 1.5418 Å (Cu Kα)).
Lines closer than 0.1° are merged.

Principal peaks in the range 2θ from 10° to 90°, by angle:
2θ 17.52, intensity 668; 2θ 21.31, intensity 174; 2θ 26.25, intensity 909; 2θ 30.03, intensity 1000; 2θ 30.61, intensity 830; 2θ 39.86, intensity 166

Cell and atoms:
```
data_Rb3SbAu
_symmetry_space_group_name_H-M 'P 1'
_symmetry_Int_Tables_number 1
_cell_length_a 7.360
_cell_length_b 10.142
_cell_length_c 11.665
_cell_angle_alpha 90.00
_cell_angle_beta 90.11
_cell_angle_gamma 90.00
loop_
_symmetry_equiv_pos_as_xyz
'x,y,z'
loop_
_atom_site_label
_atom_site_fract_x
_atom_site_fract_y
_atom_site_fract_z
Rb1 0.226 0.202 0.376
Rb2 0.226 0.298 0.876
Rb3 0.244 0.540 0.607
Rb4 0.244 0.960 0.107
Rb5 0.258 0.544 0.143
Rb6 0.258 0.956 0.643
Rb7 0.742 0.044 0.357
Rb8 0.742 0.456 0.857
Rb9 0.756 0.040 0.893
Rb10 0.756 0.460 0.393
Rb11 0.774 0.702 0.124
Rb12 0.774 0.798 0.624
Sb1 0.090 0.729 0.874
Sb2 0.090 0.771 0.374
Sb3 0.910 0.229 0.626
Sb4 0.910 0.271 0.126
Au1 0.458 0.742 0.875
Au2 0.458 0.758 0.375
Au3 0.542 0.242 0.625
Au4 0.542 0.258 0.125
```


Entry 6:
Structure and theoretical X-ray diffraction stick pattern of Rb12SbAu6 (the GGA-PBE geometry in Alexandria; λ = 1.5418 Å (Cu Kα)).
Lines closer than 0.1° are merged.

Principal peaks in the range 2θ from 10° to 90°, by angle:
2θ 10.37, intensity 186; 2θ 14.69, intensity 412; 2θ 27.67, intensity 1000; 2θ 31.47, intensity 221; 2θ 38.04, intensity 504; 2θ 45.10, intensity 178

Cell and atoms:
```
data_Rb12SbAu6
_symmetry_space_group_name_H-M 'P 1'
_symmetry_Int_Tables_number 1
_cell_length_a 10.446
_cell_length_b 10.446
_cell_length_c 10.446
_cell_angle_alpha 109.47
_cell_angle_beta 109.47
_cell_angle_gamma 109.47
loop_
_symmetry_equiv_pos_as_xyz
'x,y,z'
loop_
_atom_site_label
_atom_site_fract_x
_atom_site_fract_y
_atom_site_fract_z
Rb1 0.123 0.825 0.298
Rb2 0.175 0.298 0.473
Rb3 0.175 0.702 0.877
Rb4 0.298 0.123 0.825
Rb5 0.298 0.473 0.175
Rb6 0.473 0.175 0.298
Rb7 0.527 0.825 0.702
Rb8 0.702 0.527 0.825
Rb9 0.702 0.877 0.175
Rb10 0.825 0.298 0.123
Rb11 0.825 0.702 0.527
Rb12 0.877 0.175 0.702
Sb1 0.000 0.000 0.000
Au1 0.120 0.620 0.500
Au2 0.380 0.500 0.880
Au3 0.500 0.120 0.620
Au4 0.500 0.880 0.380
Au5 0.620 0.500 0.120
Au6 0.880 0.380 0.500
```